The following is a computed powder X-ray diffraction pattern of Ti3NbSe8. It was derived from the GGA-PBE geometry in Alexandria, using Cu Kα, 1.54184 Å.
Peak positions follow from Bragg's law for the DFT cell and can differ from measured ones.

Main lines, by angle (15° ≤ 2θ ≤ 90°):
d (Å)  I_rel  h k l
3.443  199  0 0 2
2.928  139  4 0 -2
2.917  280  2 2 0
2.630  1000  2 2 -2
2.609  494  4 0 0
1.980  198  4 0 -4
1.964  397  2 2 2
1.758  443  0 4 0
1.458  157  4 4 0
1.125  132  2 6 -2

Cell and atoms:
```
data_Ti3NbSe8
_chemical_formula_sum 'Ti6 Nb2 Se16'
_cell_length_a 12.1719
_cell_length_b 7.0357
_cell_length_c 8.0314
_cell_angle_alpha 90.00
_cell_angle_beta 120.97
_cell_angle_gamma 90.00
_symmetry_space_group_name_H-M 'C 1 2/m 1'
_symmetry_Int_Tables_number 12
loop_
_symmetry_equiv_pos_as_xyz
'x,y,z'
'-x,-y,-z'
'-x,y,-z'
'x,-y,z'
'x+1/2,y+1/2,z'
'-x+1/2,-y+1/2,-z'
'-x+1/2,y+1/2,-z'
'x+1/2,-y+1/2,z'
loop_
_atom_site_label
_atom_site_type_symbol
_atom_site_fract_x
_atom_site_fract_y
_atom_site_fract_z
_atom_site_occupancy
Ti1 Ti 0.0000 0.0000 0.0000 1
Ti2 Ti 0.2500 0.2500 0.0000 1
Nb1 Nb 0.0000 0.5000 0.0000 1
Se1 Se 0.0059 0.2462 0.7679 1
Se2 Se 0.2438 0.0000 0.2272 1
Se3 Se 0.2479 0.5000 0.2321 1
```

---

The following is a computed powder X-ray diffraction pattern of HfMg2H6. It was derived from the GGA-PBE geometry in Alexandria, using Cu Kα, 1.54184 Å.
Peak positions follow from Bragg's law for the DFT cell and can differ from measured ones.

Main lines, by angle (15° ≤ 2θ ≤ 90°):
d (Å)  I_rel  h k l
4.165  1000  1 1 1
3.607  278  2 0 0
2.551  706  2 2 0
2.175  551  3 1 1
1.804  135  4 0 0
1.655  239  3 3 1
1.613  115  4 2 0
1.473  260  4 2 2
1.388  176  3 3 3
1.219  174  5 3 1

Cell and atoms:
```
data_HfMg2H6
_chemical_formula_sum 'Hf4 Mg8 H24'
_cell_length_a 7.2140
_cell_length_b 7.2140
_cell_length_c 7.2140
_cell_angle_alpha 90.00
_cell_angle_beta 90.00
_cell_angle_gamma 90.00
_symmetry_space_group_name_H-M 'F m -3 m'
_symmetry_Int_Tables_number 225
_symmetry_space_group_name_Hall '-F 4 2 3'
loop_
_atom_site_label
_atom_site_type_symbol
_atom_site_fract_x
_atom_site_fract_y
_atom_site_fract_z
_atom_site_occupancy
Hf1 Hf 0.0000 0.0000 0.0000 1
Mg1 Mg 0.2500 0.2500 0.2500 1
H1 H 0.0000 0.0000 0.2677 1
```